The following is a calculated X-ray diffraction stick pattern of Li4Ti2Mn3Ni3O16. It was derived from DFT lattice parameters and positions (PBE+U), using Cu Kα.
Lines closer than 0.1° are merged.

Peak list (10 most intense, 5° ≤ 2θ ≤ 70°, in order of rising 2θ)
two_theta  d [Å]  Rel. int.
18.76  4.731  100
19.44  4.567  22
19.86  4.471  40
20.16  4.404  37
36.52  2.460  36
36.83  2.441  39
37.20  2.417  24
45.77  1.982  28
46.61  1.949  38
63.43  1.467  34

Atomic structure:
a b c (Å): 5.870 5.870 9.468
angles (deg): 91.84 91.84 58.87
Atoms (fractional coordinates):
Li  0.000  0.000  0.000
Li  0.007  0.007  0.504
Li  0.342  0.342  0.602
Li  0.670  0.670  0.102
Ti  0.330  0.330  0.999
Ti  0.671  0.671  0.502
Mn  0.171  0.660  0.281
Mn  0.660  0.171  0.281
Mn  0.830  0.830  0.778
Ni  0.173  0.173  0.283
Ni  0.341  0.834  0.782
Ni  0.834  0.341  0.782
O  0.041  0.496  0.154
O  0.158  0.659  0.901
O  0.162  0.162  0.901
O  0.337  0.823  0.405
O  0.346  0.346  0.390
O  0.483  0.483  0.163
O  0.496  0.041  0.154
O  0.527  0.527  0.659
O  0.534  0.969  0.651
O  0.659  0.158  0.901
O  0.673  0.673  0.883
O  0.823  0.337  0.405
O  0.839  0.839  0.394
O  0.969  0.534  0.651
O  0.995  0.995  0.189
O  0.997  0.997  0.692

---

The following is a calculated X-ray diffraction stick pattern of SmNiO3. It was derived from DFT lattice parameters and positions (PBE+U), using Cu Kα.
Lines closer than 0.1° are merged.

Peak list (6 most intense, 5° ≤ 2θ ≤ 70°, in order of rising 2θ)
two_theta  d [Å]  Rel. int.
23.45  3.794  13
33.40  2.683  100
41.21  2.190  17
47.96  1.897  31
54.05  1.697  7
59.70  1.549  38

Atomic structure:
a b c (Å): 3.794 3.794 3.794
angles (deg): 90.00 90.00 90.00
Atoms (fractional coordinates):
Sm  0.000  0.000  0.000
Ni  0.500  0.500  0.500
O  0.000  0.500  0.500
O  0.500  0.000  0.500
O  0.500  0.500  0.000

---

The following is a calculated X-ray diffraction stick pattern of Li3V8ZnO16. It was derived from DFT lattice parameters and positions (PBE+U), using Cu Kα.
Lines closer than 0.1° are merged.

Peak list (10 most intense, 5° ≤ 2θ ≤ 70°, in order of rising 2θ)
two_theta  d [Å]  Rel. int.
10.50  8.422  9
18.24  4.865  87
23.61  3.769  8
30.00  2.979  10
35.33  2.541  100
36.96  2.432  11
42.93  2.107  65
56.77  1.622  40
62.34  1.490  60
65.54  1.424  11

Atomic structure:
a b c (Å): 5.960 5.960 8.422
angles (deg): 90.00 90.00 90.00
Atoms (fractional coordinates):
Li  0.000  0.000  0.000
Li  0.000  0.500  0.249
Li  0.500  0.000  0.751
V  0.000  0.243  0.626
V  0.000  0.757  0.626
V  0.243  0.000  0.374
V  0.246  0.500  0.879
V  0.500  0.246  0.121
V  0.500  0.754  0.121
V  0.754  0.500  0.879
V  0.757  0.000  0.374
Zn  0.500  0.500  0.500
O  0.000  0.231  0.386
O  0.000  0.269  0.862
O  0.000  0.731  0.862
O  0.000  0.769  0.386
O  0.227  0.500  0.635
O  0.231  0.000  0.614
O  0.269  0.000  0.138
O  0.272  0.500  0.115
O  0.500  0.227  0.365
O  0.500  0.272  0.885
O  0.500  0.728  0.885
O  0.500  0.773  0.365
O  0.728  0.500  0.115
O  0.731  0.000  0.138
O  0.769  0.000  0.614
O  0.773  0.500  0.635